Computed powder X-ray diffraction pattern
Compound: PrSi2Ag2
Radiation: Cu Kα X-rays
Structure: DFT lattice parameters and positions (GGA-PBE)

Most intense lines, 2θ from 15° to 90°, low angle first:
| index | d [Å] | 2θ/deg | I/Imax |
| --- | --- | --- | --- |
| 1 0 1 | 3.969 | 22.40 | 18 |
| 1 0 3 | 2.746 | 32.61 | 22 |
| 0 0 4 | 2.689 | 33.32 | 18 |
| 1 1 2 | 2.633 | 34.05 | 100 |
| 2 0 0 | 2.135 | 42.32 | 34 |
| 1 0 5 | 1.921 | 47.31 | 11 |
| 2 0 4 | 1.672 | 54.90 | 17 |
| 1 1 6 | 1.542 | 60.01 | 14 |
| 2 2 0 | 1.510 | 61.40 | 11 |
| 3 1 2 | 1.310 | 72.11 | 21 |

Atomic structure:
Unit cell a=4.2709 b=4.2709 c=10.7561 alpha=90.00 beta=90.00 gamma=90.00
Space group I4/mmm (No. 139)
Inequivalent atoms, fractional coordinates:
Pr (0.0000, 0.0000, 0.0000) x2
Si (0.0000, 0.0000, 0.3913) x4
Ag (0.0000, 0.5000, 0.2500) x4

Computed powder X-ray diffraction pattern
Compound: RbScF4
Radiation: Cu Kα X-rays
Structure: DFT lattice parameters and positions (GGA-PBE)

Most intense lines, 2θ from 15° to 90°, low angle first:
| index | d [Å] | 2θ/deg | I/Imax |
| --- | --- | --- | --- |
| 1 1 0 | 3.949 | 22.51 | 33 |
| 1 1 1 | 3.548 | 25.10 | 94 |
| 0 2 2 | 3.456 | 25.78 | 100 |
| 0 4 0 | 3.340 | 26.69 | 44 |
| 1 3 1 | 2.837 | 31.54 | 42 |
| 1 1 3 | 2.225 | 40.55 | 52 |
| 1 5 1 | 2.162 | 41.77 | 33 |
| 2 0 0 | 2.067 | 43.80 | 33 |
| 0 6 2 | 1.950 | 46.57 | 25 |
| 2 2 2 | 1.774 | 51.52 | 28 |

Atomic structure:
Unit cell a=4.1341 b=13.3613 c=8.0772 alpha=90.00 beta=90.00 gamma=90.00
Space group Cmcm (No. 63)
Inequivalent atoms, fractional coordinates:
Rb (0.0000, 0.2286, 0.2500) x4
Sc (0.0000, 0.5000, 0.0000) x4
F (0.0000, 0.0000, 0.0000) x4
F (0.0000, 0.3537, 0.5460) x8
F (0.0000, 0.4676, 0.2500) x4

Computed powder X-ray diffraction pattern
Compound: Sr2NdCu2Bi2O8
Radiation: Cu Kα X-rays
Structure: DFT lattice parameters and positions (GGA-PBE)

Most intense lines, 2θ from 15° to 90°, low angle first:
| index | d [Å] | 2θ/deg | I/Imax |
| --- | --- | --- | --- |
| 1 0 3 | 3.585 | 24.84 | 37 |
| 1 0 5 | 3.250 | 27.44 | 44 |
| 0 0 10 | 3.081 | 28.98 | 16 |
| 1 0 7 | 2.887 | 30.97 | 100 |
| 1 1 0 | 2.705 | 33.12 | 84 |
| 1 1 10 | 2.033 | 44.57 | 34 |
| 2 0 0 | 1.913 | 47.53 | 39 |
| 1 0 17 | 1.638 | 56.16 | 17 |
| 2 1 7 | 1.595 | 57.82 | 36 |
| 2 1 17 | 1.244 | 76.59 | 18 |

Atomic structure:
Unit cell a=3.8257 b=3.8257 c=30.8072 alpha=90.00 beta=90.00 gamma=90.00
Space group I4/mmm (No. 139)
Inequivalent atoms, fractional coordinates:
Sr (0.0000, 0.0000, 0.1151) x4
Nd (0.0000, 0.0000, 0.0000) x2
Cu (0.0000, 0.0000, 0.4454) x4
Bi (0.0000, 0.0000, 0.2958) x4
O (0.0000, 0.0000, 0.2025) x4
O (0.0000, 0.0000, 0.3646) x4
O (0.0000, 0.5000, 0.0517) x8